Structure and computed PXRD pattern of Ho2Co5Si2Ge (a cell relaxed with PBE; copper Kα).

Main lines, low angle first (2θ from 10° to 80°):
| d_spacing | I/Imax | hkl |
| --- | --- | --- |
| 4.168 | 24 | 2 1 0 |
| 2.581 | 64 | 2 1 1 |
| 2.327 | 31 | 2 2 1 |
| 2.260 | 66 | 4 1 0 |
| 2.195 | 100 | 3 3 0 |
| 2.032 | 22 | 3 2 1 |
| 1.643 | 17 | 0 0 2 |
| 1.329 | 23 | 4 1 2 |

Crystal structure
```
Ho2Co5Si2Ge
1.0
9.3200 0.0000 0.0000
0.0000 9.3200 0.0000
0.0000 0.0000 3.2860
Ho Co Si Ge
4 10 4 2
direct
0.1779 0.3221 0.0000
0.3221 0.8221 0.0000
0.6779 0.1779 0.0000
0.8221 0.6779 0.0000
0.0000 0.5000 0.5000
0.0645 0.7856 0.5000
0.2144 0.0645 0.5000
0.2856 0.5645 0.5000
0.4355 0.2856 0.5000
0.5000 0.0000 0.5000
0.5645 0.7144 0.5000
0.7144 0.4355 0.5000
0.7856 0.9355 0.5000
0.9355 0.2144 0.5000
0.1189 0.6189 0.0000
0.3811 0.1189 0.0000
0.6189 0.8811 0.0000
0.8811 0.3811 0.0000
0.0000 0.0000 0.0000
0.5000 0.5000 0.0000
```

---

Structure and computed PXRD pattern of Mg2F (a cell relaxed with PBE; copper Kα).

Main lines, low angle first (2θ from 10° to 80°):
| d_spacing | I/Imax | hkl |
| --- | --- | --- |
| 5.634 | 24 | 1 0 0 |
| 3.558 | 20 | 1 0 1 |
| 2.929 | 79 | 0 0 2 |
| 2.817 | 43 | 2 0 0 |
| 2.660 | 100 | 1 1 -1 |
| 2.370 | 49 | 1 1 1 |
| 1.721 | 23 | 1 1 -3 |
| 1.674 | 35 | 3 1 -1 |

Crystal structure
```
Mg2F
1.0
5.9119 0.0000 0.0000
0.0000 3.1774 0.0000
-1.8617 0.0000 5.8575
Mg F
4 2
direct
0.0000 0.0000 0.0000
0.0172 0.5000 0.4448
0.4421 0.5000 0.9417
0.4781 0.0000 0.4423
0.5988 0.0000 0.8111
0.7013 0.5000 0.5017
```